Calculated XRD peak list
Compound: Tm5Ge10Os4
Radiation: a wavelength of 1.5418 Å
Structure: DFT lattice parameters and positions (PBE)

Structure:
```
data_Tm5Ge10Os4
_cell_length_a 13.1021
_cell_length_b 13.1021
_cell_length_c 4.2349
_cell_angle_alpha 90.00
_cell_angle_beta 90.00
_cell_angle_gamma 90.00
_symmetry_space_group_name_H-M 'P 4/m b m'
_symmetry_Int_Tables_number 127
_symmetry_space_group_name_Hall '-P 4 2ab'
loop_
_atom_site_label
_atom_site_type_symbol
_atom_site_fract_x
_atom_site_fract_y
_atom_site_fract_z
Tm1 Tm 0.0000 0.0000 0.0000
Tm2 Tm 0.1164 0.3836 0.5000
Tm3 Tm 0.1714 0.6714 0.5000
Ge1 Ge 0.0083 0.8445 0.5000
Ge2 Ge 0.0669 0.5669 0.0000
Ge3 Ge 0.1641 0.1981 0.0000
Os1 Os 0.0181 0.7515 0.0000
```

Top 10 peaks for 10° ≤ 2θ ≤ 90°, in order of rising 2θ:
(hkl), d/Å, Rel. int.
2 2 0, 4.632, 21
3 2 1, 2.758, 27
4 0 1, 2.591, 100
5 1 0, 2.570, 22
4 1 1, 2.542, 32
3 3 1, 2.495, 75
4 4 0, 2.316, 22
0 0 2, 2.117, 50
6 2 0, 2.072, 23
8 4 1, 1.384, 23